(1)
For BaLaMnSbO6, the PBE+U geometry in Alexandria gives the simulated powder diffraction line list in this record (Cu Kα, 1.54184 Å).
Intensities are scaled so that the largest is 100.

Main lines, by angle (2θ from 15° to 90°):
Position (°2θ)  d [Å]  intensity
30.53  2.928  100
30.84  2.899  55
43.26  2.091  16
44.18  2.050  29
54.07  1.696  23
54.65  1.679  44
63.55  1.464  18
72.97  1.297  11
87.99  1.110  11
88.79  1.102  13

Cell and atoms:
a b c (Å): 5.857 5.857 5.857
angles (deg): 120.66 120.66 88.85
Positions (direct):
Ba (0.000, 0.000, 0.000)
La (0.500, 0.500, 0.000)
Mn (0.250, 0.750, 0.500)
Sb (0.750, 0.250, 0.500)
O (0.068, 0.090, 0.615)
O (0.475, 0.453, 0.385)
O (0.509, 0.009, 0.500)
O (0.547, 0.932, 0.022)
O (0.910, 0.525, 0.978)
O (0.991, 0.491, 0.500)


(2)
For La3Co3O8, the PBE+U geometry in Alexandria gives the simulated powder diffraction line list in this record (Cu Kα, 1.54184 Å).
Intensities are scaled so that the largest is 100.

Main lines, by angle (2θ from 15° to 90°):
Position (°2θ)  d [Å]  intensity
22.67  3.922  47
31.66  2.826  60
32.22  2.778  100
32.35  2.767  100
32.88  2.724  61
40.32  2.237  19
46.30  1.961  83
56.66  1.625  20
56.91  1.618  20
58.33  1.582  34

Cell and atoms:
a b c (Å): 5.653 5.447 11.761
angles (deg): 90.00 90.33 90.00
Positions (direct):
La (0.232, 0.000, 0.308)
La (0.233, 0.996, 0.689)
La (0.249, 0.029, 0.999)
La (0.751, 0.529, 0.001)
La (0.767, 0.496, 0.311)
La (0.768, 0.500, 0.692)
Co (0.251, 0.511, 0.836)
Co (0.257, 0.511, 0.168)
Co (0.312, 0.461, 0.497)
Co (0.688, 0.961, 0.503)
Co (0.743, 0.011, 0.832)
Co (0.749, 0.011, 0.164)
O (0.000, 0.277, 0.145)
O (0.000, 0.777, 0.855)
O (0.021, 0.767, 0.144)
O (0.177, 0.536, 0.646)
O (0.187, 0.527, 0.342)
O (0.330, 0.500, 0.008)
O (0.357, 0.092, 0.500)
O (0.484, 0.254, 0.193)
O (0.488, 0.242, 0.807)
O (0.512, 0.742, 0.193)
O (0.516, 0.754, 0.807)
O (0.643, 0.592, 0.500)
O (0.670, 0.000, 0.992)
O (0.813, 0.027, 0.658)
O (0.823, 0.036, 0.354)
O (0.979, 0.267, 0.856)


Please write out number 1 again, unchanged.
For BaLaMnSbO6, the PBE+U geometry in Alexandria gives the simulated powder diffraction line list in this record (Cu Kα, 1.54184 Å).
Intensities are scaled so that the largest is 100.

Main lines, by angle (2θ from 15° to 90°):
Position (°2θ)  d [Å]  intensity
30.53  2.928  100
30.84  2.899  55
43.26  2.091  16
44.18  2.050  29
54.07  1.696  23
54.65  1.679  44
63.55  1.464  18
72.97  1.297  11
87.99  1.110  11
88.79  1.102  13

Cell and atoms:
a b c (Å): 5.857 5.857 5.857
angles (deg): 120.66 120.66 88.85
Positions (direct):
Ba (0.000, 0.000, 0.000)
La (0.500, 0.500, 0.000)
Mn (0.250, 0.750, 0.500)
Sb (0.750, 0.250, 0.500)
O (0.068, 0.090, 0.615)
O (0.475, 0.453, 0.385)
O (0.509, 0.009, 0.500)
O (0.547, 0.932, 0.022)
O (0.910, 0.525, 0.978)
O (0.991, 0.491, 0.500)